Entry 1:
Pr5As2BrO10: theoretical XRD peak list (CuKα), based on a cell relaxed with PBE.

Largest 8 diffraction maxima, sorted by position, 10° ≤ 2θ ≤ 90°:
| d (Å) | I (rel.) |
| --- | --- |
| 3.383 | 20 |
| 3.105 | 100 |
| 2.905 | 99 |
| 2.865 | 40 |
| 2.817 | 29 |
| 2.009 | 39 |
| 1.772 | 18 |
| 1.662 | 19 |

Structural model:
```
Pr5As2BrO10
1.0
6.289 -2.865 0.000
6.289 2.865 0.000
-4.026 0.000 8.116
Pr As Br O
5 2 1 10
Direct
0.000 0.000 0.000
0.253 0.253 0.869
0.500 0.500 0.292
0.500 0.500 0.708
0.747 0.747 0.131
0.215 0.215 0.396
0.785 0.785 0.604
0.000 0.000 0.500
0.094 0.624 0.751
0.132 0.626 0.083
0.358 0.358 0.398
0.374 0.868 0.917
0.376 0.906 0.249
0.624 0.094 0.751
0.626 0.132 0.083
0.642 0.642 0.602
0.868 0.374 0.917
0.906 0.376 0.249
```

---

Entry 2:
Sr2SbAu: theoretical XRD peak list (CuKα), based on a cell relaxed with PBE.

Largest 8 diffraction maxima, sorted by position, 10° ≤ 2θ ≤ 90°:
| d (Å) | I (rel.) |
| --- | --- |
| 3.916 | 9 |
| 2.792 | 100 |
| 2.769 | 49 |
| 1.991 | 9 |
| 1.961 | 9 |
| 1.955 | 9 |
| 1.617 | 19 |
| 1.603 | 37 |

Structural model:
```
Sr2SbAu
1.0
-3.922 3.983 3.909
3.922 -3.983 3.909
3.922 3.983 -3.909
Sr Sb Au
4 2 2
Direct
0.254 0.000 0.754
0.254 0.500 0.254
0.746 0.000 0.246
0.746 0.500 0.746
0.244 0.494 0.750
0.756 0.506 0.250
0.247 0.997 0.250
0.753 0.003 0.750
```

---

Entry 3:
K2CuGeBr6: theoretical XRD peak list (CuKα), based on a cell relaxed with PBE.

Largest 8 diffraction maxima, sorted by position, 10° ≤ 2θ ≤ 90°:
| d (Å) | I (rel.) |
| --- | --- |
| 5.304 | 56 |
| 3.062 | 71 |
| 2.652 | 100 |
| 2.372 | 29 |
| 1.875 | 69 |
| 1.599 | 29 |
| 1.531 | 23 |
| 1.186 | 30 |

Structural model:
```
K2CuGeBr6
1.0
0.000 5.304 5.304
5.304 0.000 5.304
5.304 5.304 0.000
K Cu Ge Br
2 1 1 6
Direct
0.250 0.250 0.250
0.750 0.750 0.750
0.000 0.000 0.000
0.500 0.500 0.500
0.246 0.246 0.754
0.246 0.754 0.246
0.246 0.754 0.754
0.754 0.246 0.246
0.754 0.246 0.754
0.754 0.754 0.246
```

---

Entry 4:
LaHoAl6: theoretical XRD peak list (CuKα), based on a cell relaxed with PBE.

Largest 8 diffraction maxima, sorted by position, 10° ≤ 2θ ≤ 90°:
| d (Å) | I (rel.) |
| --- | --- |
| 3.551 | 98 |
| 3.244 | 49 |
| 2.810 | 26 |
| 2.395 | 100 |
| 1.927 | 25 |
| 1.872 | 30 |
| 1.475 | 27 |
| 1.342 | 29 |

Structural model:
```
LaHoAl6
1.0
6.488 0.000 0.000
-3.244 5.619 0.000
0.000 0.000 4.582
La Ho Al
1 1 6
Direct
0.000 0.000 0.000
0.333 0.667 0.500
0.386 0.193 0.500
0.521 0.043 0.000
0.521 0.479 0.000
0.807 0.193 0.500
0.807 0.614 0.500
0.957 0.479 0.000
```

---

Entry 5:
Zr4AsC2S: theoretical XRD peak list (CuKα), based on a cell relaxed with PBE.

Largest 8 diffraction maxima, sorted by position, 10° ≤ 2θ ≤ 90°:
| d (Å) | I (rel.) |
| --- | --- |
| 2.986 | 27 |
| 2.904 | 9 |
| 2.428 | 100 |
| 2.086 | 10 |
| 1.724 | 26 |
| 1.710 | 10 |
| 1.406 | 17 |
| 1.329 | 14 |

Structural model:
```
Zr4AsC2S
1.0
3.448 0.000 0.000
-1.724 2.986 0.000
0.000 0.000 12.516
Zr As C S
4 1 2 1
Direct
0.000 0.000 0.146
0.000 0.000 0.854
0.667 0.333 0.345
0.667 0.333 0.655
0.000 0.000 0.500
0.333 0.667 0.245
0.333 0.667 0.755
0.667 0.333 0.000
```

---

Entry 6:
Y2Tm5Ni2Te2: theoretical XRD peak list (CuKα), based on a cell relaxed with PBE.

Largest 8 diffraction maxima, sorted by position, 10° ≤ 2θ ≤ 90°:
| d (Å) | I (rel.) |
| --- | --- |
| 2.929 | 50 |
| 2.706 | 62 |
| 2.614 | 100 |
| 2.580 | 49 |
| 2.006 | 15 |
| 1.912 | 24 |
| 1.775 | 25 |
| 1.561 | 30 |

Structural model:
```
Y2Tm5Ni2Te2
1.0
-1.912 7.730 4.770
1.912 -7.730 4.770
1.912 7.730 -4.770
Y Tm Ni Te
2 5 2 2
Direct
0.185 0.000 0.185
0.815 0.000 0.815
0.164 0.797 0.367
0.430 0.797 0.633
0.503 0.650 0.853
0.797 0.650 0.147
0.877 0.377 0.500
0.043 0.304 0.739
0.565 0.304 0.261
0.144 0.144 0.000
0.542 0.042 0.500
```

---

Entry 7:
AgBi2Se3I: theoretical XRD peak list (CuKα), based on a cell relaxed with PBE.

Largest 8 diffraction maxima, sorted by position, 10° ≤ 2θ ≤ 90°:
| d (Å) | I (rel.) |
| --- | --- |
| 3.667 | 29 |
| 3.384 | 49 |
| 2.913 | 100 |
| 2.867 | 46 |
| 2.760 | 22 |
| 2.732 | 27 |
| 2.206 | 31 |
| 2.096 | 38 |

Structural model:
```
AgBi2Se3I
1.0
8.262 0.000 0.000
0.000 4.192 0.000
-2.312 0.000 11.468
Ag Bi Se I
2 4 6 2
Direct
0.054 0.250 0.411
0.946 0.750 0.589
0.177 0.250 0.922
0.446 0.750 0.644
0.554 0.250 0.356
0.823 0.750 0.078
0.049 0.250 0.146
0.185 0.250 0.657
0.318 0.750 0.409
0.682 0.250 0.591
0.815 0.750 0.343
0.951 0.750 0.854
0.409 0.750 0.113
0.591 0.250 0.887
```

---

Entry 8:
BaZnCoP2: theoretical XRD peak list (CuKα), based on a cell relaxed with PBE.

Largest 8 diffraction maxima, sorted by position, 10° ≤ 2θ ≤ 90°:
| d (Å) | I (rel.) |
| --- | --- |
| 3.773 | 40 |
| 3.117 | 32 |
| 2.866 | 82 |
| 2.553 | 100 |
| 1.979 | 40 |
| 1.669 | 63 |
| 1.629 | 29 |
| 1.227 | 19 |

Structural model:
```
BaZnCoP2
1.0
-1.979 1.979 6.235
1.979 -1.979 6.235
1.979 1.979 -6.235
Ba Zn Co P
1 1 1 2
Direct
0.000 0.000 0.000
0.750 0.250 0.500
0.250 0.750 0.500
0.351 0.351 0.000
0.649 0.649 0.000
```

---

Entry 9:
KRbCo2S4: theoretical XRD peak list (CuKα), based on a cell relaxed with PBE.

Largest 8 diffraction maxima, sorted by position, 10° ≤ 2θ ≤ 90°:
| d (Å) | I (rel.) |
| --- | --- |
| 5.685 | 72 |
| 5.645 | 73 |
| 3.274 | 100 |
| 3.197 | 67 |
| 2.877 | 92 |
| 2.149 | 59 |
| 1.881 | 42 |
| 1.667 | 36 |

Structural model:
```
KRbCo2S4
1.0
3.505 -5.685 0.000
3.505 5.685 0.000
-1.947 0.000 4.839
K Rb Co S
1 1 2 4
Direct
0.000 0.000 0.000
0.288 0.712 0.500
0.642 0.358 0.000
0.642 0.358 0.500
0.348 0.274 0.656
0.566 0.068 0.161
0.726 0.652 0.344
0.932 0.434 0.839
```

---

Entry 10:
ScNbSnC: theoretical XRD peak list (CuKα), based on a cell relaxed with PBE.

Largest 8 diffraction maxima, sorted by position, 10° ≤ 2θ ≤ 90°:
| d (Å) | I (rel.) |
| --- | --- |
| 2.866 | 22 |
| 2.462 | 100 |
| 2.404 | 18 |
| 1.842 | 16 |
| 1.655 | 21 |
| 1.399 | 15 |
| 1.373 | 16 |
| 1.363 | 18 |

Structural model:
```
ScNbSnC
1.0
3.309 0.000 0.000
-1.655 2.866 0.000
0.000 0.000 14.426
Sc Nb Sn C
2 2 2 2
Direct
0.333 0.667 0.085
0.667 0.333 0.915
0.333 0.667 0.420
0.667 0.333 0.580
0.333 0.667 0.742
0.667 0.333 0.258
0.000 0.000 0.000
0.000 0.000 0.500
```

---

Entry 11:
KAgH2C2N2O: theoretical XRD peak list (CuKα), based on a cell relaxed with PBE.

Largest 8 diffraction maxima, sorted by position, 10° ≤ 2θ ≤ 90°:
| d (Å) | I (rel.) |
| --- | --- |
| 8.411 | 100 |
| 6.730 | 75 |
| 5.255 | 65 |
| 4.205 | 67 |
| 3.527 | 65 |
| 3.299 | 77 |
| 2.885 | 59 |
| 2.515 | 48 |

Structural model:
```
KAgH2C2N2O
1.0
7.771 0.000 0.000
-3.885 6.730 0.000
0.000 0.000 16.822
K Ag H C N O
6 6 12 12 12 6
Direct
0.000 0.000 0.000
0.000 0.000 0.500
0.333 0.667 0.013
0.333 0.667 0.487
0.667 0.333 0.513
0.667 0.333 0.987
0.129 0.258 0.250
0.129 0.871 0.250
0.258 0.129 0.750
0.742 0.871 0.250
0.871 0.129 0.750
0.871 0.742 0.750
0.142 0.526 0.793
0.142 0.615 0.707
0.385 0.526 0.707
0.385 0.858 0.793
0.474 0.615 0.793
0.474 0.858 0.707
0.526 0.142 0.293
0.526 0.385 0.207
0.615 0.142 0.207
0.615 0.474 0.293
0.858 0.385 0.293
0.858 0.474 0.207
0.042 0.284 0.365
0.042 0.758 0.135
0.242 0.284 0.135
0.242 0.958 0.365
0.284 0.042 0.865
0.284 0.242 0.635
0.716 0.758 0.365
0.716 0.958 0.135
0.758 0.042 0.635
0.758 0.716 0.865
0.958 0.242 0.865
0.958 0.716 0.635
0.026 0.343 0.921
0.026 0.683 0.579
0.317 0.343 0.579
0.317 0.974 0.921
0.343 0.026 0.421
0.343 0.317 0.079
0.657 0.683 0.921
0.657 0.974 0.579
0.683 0.026 0.079
0.683 0.657 0.421
0.974 0.317 0.421
0.974 0.657 0.079
0.060 0.530 0.750
0.470 0.530 0.750
0.470 0.940 0.750
0.530 0.060 0.250
0.530 0.470 0.250
0.940 0.470 0.250
```

---

Entry 12:
Li2AlZnAg2Au2: theoretical XRD peak list (CuKα), based on a cell relaxed with PBE.

Largest 8 diffraction maxima, sorted by position, 10° ≤ 2θ ≤ 90°:
| d (Å) | I (rel.) |
| --- | --- |
| 3.634 | 25 |
| 3.154 | 64 |
| 3.135 | 32 |
| 2.230 | 51 |
| 2.223 | 100 |
| 1.817 | 27 |
| 1.409 | 23 |
| 1.286 | 34 |

Structural model:
```
Li2AlZnAg2Au2
1.0
4.460 0.000 0.000
0.000 4.460 0.000
0.000 0.000 6.269
Li Al Zn Ag Au
2 1 1 2 2
Direct
0.000 0.000 0.000
0.500 0.500 0.500
0.000 0.000 0.500
0.500 0.500 0.000
0.000 0.500 0.751
0.500 0.000 0.249
0.000 0.500 0.257
0.500 0.000 0.743
```